1.
Theoretical XRD peak list of ZnGeRh2 for CuKα, from the GGA-PBE geometry in the Materials Project.
Lines closer than 0.1° are merged.

Atomic structure:
Lattice parameters (Å, degrees): 4.3035 4.3035 4.3035 60.00 60.00 60.00
Sites, in units of the cell vectors:
Zn  0.0000  0.0000  0.0000
Ge  0.5000  0.5000  0.5000
Rh  0.2500  0.2500  0.2500
Rh  0.7500  0.7500  0.7500

Peak list (6 most intense, 2θ from 10° to 80°, sorted by position)
| 2theta | Rel. int. |
| --- | --- |
| 29.35 | 4 |
| 41.99 | 100 |
| 52.05 | 1 |
| 60.88 | 16 |
| 69.01 | 2 |
| 76.71 | 32 |

2.
Theoretical XRD peak list of LiHoO3 for CuKα, from the GGA-PBE geometry in the Materials Project.
Lines closer than 0.1° are merged.

Atomic structure:
Lattice parameters (Å, degrees): 3.6631 3.6631 3.6631 90.00 90.00 90.00
Sites, in units of the cell vectors:
Li  0.0000  0.0000  0.0000
Ho  0.5000  0.5000  0.5000
O  0.0000  0.0000  0.5000
O  0.0000  0.5000  0.0000
O  0.5000  0.0000  0.0000

Peak list (8 most intense, 2θ from 10° to 80°, sorted by position)
| 2theta | Rel. int. |
| --- | --- |
| 24.30 | 100 |
| 34.63 | 95 |
| 42.76 | 65 |
| 49.78 | 34 |
| 56.15 | 43 |
| 62.06 | 37 |
| 73.06 | 20 |
| 78.30 | 21 |

3.
Theoretical XRD peak list of YFe11Mo for CuKα, from the GGA-PBE geometry in the Materials Project.
Lines closer than 0.1° are merged.

Atomic structure:
Lattice parameters (Å, degrees): 6.4507 6.4507 6.4507 137.33 97.90 97.32
Sites, in units of the cell vectors:
Y  0.0000  0.0000  0.0000
Fe  0.2148  0.4920  0.7227
Fe  0.2227  0.7227  0.5000
Fe  0.3524  0.3524  0.0000
Fe  0.3516  0.9929  0.3587
Fe  0.4936  0.4943  0.4985
Fe  0.4936  0.9951  0.9993
Fe  0.6342  0.9929  0.6413
Fe  0.7667  0.2667  0.5000
Fe  0.7693  0.4920  0.2773
Fe  0.9958  0.4943  0.0007
Fe  0.9958  0.9951  0.5015
Mo  0.6271  0.6271  0.0000

Peak list (12 most intense, 2θ from 10° to 80°, sorted by position)
| 2theta | Rel. int. |
| --- | --- |
| 30.25 | 15 |
| 36.99 | 23 |
| 37.15 | 26 |
| 38.35 | 19 |
| 42.43 | 27 |
| 42.69 | 35 |
| 42.94 | 100 |
| 44.08 | 75 |
| 47.79 | 16 |
| 48.12 | 18 |
| 49.27 | 46 |
| 72.51 | 19 |